(1)
CaTiF5: calculated PXRD pattern (Cu Kα X-rays), based on a cell relaxed with PBE.
Lines closer than 0.1° are merged.

Main lines, low angle first (10° ≤ 2θ ≤ 90°):
| two_theta | I_rel |
| --- | --- |
| 18.86 | 42 |
| 24.11 | 100 |
| 25.83 | 38 |
| 25.93 | 35 |
| 29.98 | 27 |
| 39.13 | 9 |
| 43.16 | 35 |
| 46.69 | 25 |
| 49.59 | 21 |
| 49.77 | 18 |
| 52.19 | 9 |
| 53.11 | 11 |

Structure:
a b c (Å): 5.6227 10.3125 7.7825
angles (deg): 90.00 109.86 90.00
Positions (direct):
1 Ca 0.0288 0.0193 0.2547
2 Ca 0.0288 0.4807 0.7547
3 Ca 0.9712 0.5193 0.2453
4 Ca 0.9712 0.9807 0.7453
5 Ti 0.3944 0.2460 0.5998
6 Ti 0.3944 0.2540 0.0998
7 Ti 0.6056 0.7460 0.9002
8 Ti 0.6056 0.7540 0.4002
9 F 0.1089 0.1159 0.5556
10 F 0.1089 0.3841 0.0556
11 F 0.1414 0.1113 0.0045
12 F 0.1414 0.3887 0.5045
13 F 0.3250 0.6359 0.3585
14 F 0.3250 0.8641 0.8585
15 F 0.3477 0.2033 0.3373
16 F 0.3477 0.2967 0.8373
17 F 0.3771 0.6040 0.8105
18 F 0.3771 0.8960 0.3105
19 F 0.6229 0.1040 0.6895
20 F 0.6229 0.3960 0.1895
21 F 0.6523 0.7033 0.1627
22 F 0.6523 0.7967 0.6627
23 F 0.6750 0.1359 0.1415
24 F 0.6750 0.3641 0.6415
25 F 0.8586 0.6113 0.4955
26 F 0.8586 0.8887 0.9955
27 F 0.8911 0.6159 0.9444
28 F 0.8911 0.8841 0.4444

(2)
CaTiF4: calculated PXRD pattern (Cu Kα X-rays), based on a cell relaxed with PBE.
Lines closer than 0.1° are merged.

Main lines, low angle first (10° ≤ 2θ ≤ 90°):
| two_theta | I_rel |
| --- | --- |
| 28.11 | 100 |
| 32.58 | 5 |
| 37.49 | 14 |
| 44.36 | 11 |
| 46.73 | 79 |
| 55.43 | 41 |
| 58.12 | 4 |
| 68.22 | 8 |
| 71.23 | 5 |
| 75.35 | 12 |
| 77.68 | 10 |
| 86.77 | 12 |

Structure:
a b c (Å): 6.7353 6.7353 6.7353
angles (deg): 131.83 131.83 70.49
Positions (direct):
1 Ca 0.2500 0.2500 0.0000
2 Ca 0.7500 0.7500 0.0000
3 Ti 0.0000 0.5000 0.5000
4 Ti 0.5000 0.0000 0.5000
5 F 0.0537 0.5537 0.8713
6 F 0.1823 0.0537 0.5000
7 F 0.3177 0.8177 0.8713
8 F 0.4463 0.3177 0.5000
9 F 0.5537 0.6823 0.5000
10 F 0.6823 0.1823 0.1287
11 F 0.8177 0.9463 0.5000
12 F 0.9463 0.4463 0.1287

(3)
CaZrTlF7: calculated PXRD pattern (Cu Kα X-rays), based on a cell relaxed with PBE.
Lines closer than 0.1° are merged.

Main lines, low angle first (10° ≤ 2θ ≤ 90°):
| two_theta | I_rel |
| --- | --- |
| 14.86 | 35 |
| 25.44 | 100 |
| 25.91 | 41 |
| 26.81 | 48 |
| 34.00 | 14 |
| 36.62 | 25 |
| 40.96 | 14 |
| 41.77 | 17 |
| 44.82 | 23 |
| 45.66 | 18 |
| 47.08 | 22 |
| 50.33 | 17 |

Structure:
a b c (Å): 6.6633 6.6633 8.6510
angles (deg): 90.00 90.00 116.55
Positions (direct):
1 Ca 0.1912 0.8088 0.7500
2 Ca 0.8088 0.1912 0.2500
3 Zr 0.1926 0.8074 0.2500
4 Zr 0.8074 0.1926 0.7500
5 Tl 0.5000 0.5000 0.0000
6 Tl 0.5000 0.5000 0.5000
7 F 0.0102 0.9898 0.2500
8 F 0.1515 0.4354 0.7500
9 F 0.1717 0.4775 0.2500
10 F 0.2011 0.7989 0.0132
11 F 0.2011 0.7989 0.4868
12 F 0.4354 0.1515 0.2500
13 F 0.4775 0.1717 0.7500
14 F 0.5225 0.8283 0.2500
15 F 0.5646 0.8485 0.7500
16 F 0.7989 0.2011 0.5132
17 F 0.7989 0.2011 0.9868
18 F 0.8283 0.5225 0.7500
19 F 0.8485 0.5646 0.2500
20 F 0.9898 0.0102 0.7500

(4)
CaZnF2: calculated PXRD pattern (Cu Kα X-rays), based on a cell relaxed with PBE.
Lines closer than 0.1° are merged.

Main lines, low angle first (10° ≤ 2θ ≤ 90°):
| two_theta | I_rel |
| --- | --- |
| 27.92 | 13 |
| 29.18 | 68 |
| 33.82 | 100 |
| 36.96 | 13 |
| 44.41 | 5 |
| 48.59 | 59 |
| 57.69 | 43 |
| 60.51 | 17 |
| 67.92 | 4 |
| 71.15 | 6 |
| 78.69 | 18 |
| 81.15 | 17 |

Structure:
a b c (Å): 7.4956 7.4956 7.4956
angles (deg): 60.00 60.00 60.00
Positions (direct):
1 Ca 0.0000 0.0000 0.0000
2 Ca 0.0000 0.0000 0.5000
3 Ca 0.0000 0.5000 0.0000
4 Ca 0.5000 0.0000 0.0000
5 Zn 0.0000 0.5000 0.5000
6 Zn 0.5000 0.0000 0.5000
7 Zn 0.5000 0.5000 0.0000
8 Zn 0.5000 0.5000 0.5000
9 F 0.1512 0.7829 0.7829
10 F 0.2171 0.2171 0.2171
11 F 0.2171 0.2171 0.8488
12 F 0.2171 0.8488 0.2171
13 F 0.7829 0.1512 0.7829
14 F 0.7829 0.7829 0.1512
15 F 0.7829 0.7829 0.7829
16 F 0.8488 0.2171 0.2171

(5)
CaZnF2: calculated PXRD pattern (Cu Kα X-rays), based on a cell relaxed with PBE.
Lines closer than 0.1° are merged.

Main lines, low angle first (10° ≤ 2θ ≤ 90°):
| two_theta | I_rel |
| --- | --- |
| 28.52 | 11 |
| 29.49 | 100 |
| 33.11 | 52 |
| 34.71 | 96 |
| 37.11 | 14 |
| 48.72 | 58 |
| 49.90 | 28 |
| 56.93 | 24 |
| 59.03 | 38 |
| 61.20 | 27 |
| 79.05 | 19 |
| 82.77 | 9 |

Structure:
a b c (Å): 7.4838 7.4838 7.4838
angles (deg): 121.52 121.52 87.38
Positions (direct):
1 Ca 0.0000 0.0000 0.0000
2 Ca 0.0000 0.0000 0.5000
3 Ca 0.0000 0.5000 0.0000
4 Ca 0.5000 0.0000 0.5000
5 Zn 0.0000 0.5000 0.5000
6 Zn 0.5000 0.0000 0.0000
7 Zn 0.5000 0.5000 0.0000
8 Zn 0.5000 0.5000 0.5000
9 F 0.1534 0.2139 0.9395
10 F 0.2139 0.1534 0.4395
11 F 0.2139 0.7744 0.0605
12 F 0.2256 0.7861 0.4395
13 F 0.7744 0.2139 0.5605
14 F 0.7861 0.2256 0.9395
15 F 0.7861 0.8466 0.5605
16 F 0.8466 0.7861 0.0605

(6)
Ca5Zr3F22: calculated PXRD pattern (Cu Kα X-rays), based on a cell relaxed with PBE.
Lines closer than 0.1° are merged.

Main lines, low angle first (10° ≤ 2θ ≤ 90°):
| two_theta | I_rel |
| --- | --- |
| 17.12 | 54 |
| 19.62 | 15 |
| 24.92 | 100 |
| 27.84 | 17 |
| 29.62 | 93 |
| 45.06 | 49 |
| 45.96 | 14 |
| 46.84 | 43 |
| 47.00 | 30 |
| 48.42 | 24 |
| 52.03 | 16 |
| 55.22 | 20 |

Structure:
a b c (Å): 7.5181 10.1411 10.0685
angles (deg): 90.00 90.00 90.00
Positions (direct):
1 Ca 0.0000 0.0000 0.0218
2 Ca 0.0000 0.0000 0.4624
3 Ca 0.0000 0.5000 0.9448
4 Ca 0.2397 0.7116 0.2477
5 Ca 0.2603 0.2116 0.7523
6 Ca 0.5000 0.0000 0.0552
7 Ca 0.5000 0.5000 0.5376
8 Ca 0.5000 0.5000 0.9782
9 Ca 0.7397 0.7884 0.7523
10 Ca 0.7603 0.2884 0.2477
11 Zr 0.0000 0.5000 0.5388
12 Zr 0.2478 0.7879 0.7762
13 Zr 0.2522 0.2879 0.2238
14 Zr 0.5000 0.0000 0.4612
15 Zr 0.7478 0.7121 0.2238
16 Zr 0.7522 0.2121 0.7762
17 F 0.0053 0.8045 0.8787
18 F 0.0154 0.3428 0.1224
19 F 0.0595 0.1482 0.2918
20 F 0.0655 0.8498 0.6296
21 F 0.0827 0.3829 0.3719
22 F 0.0878 0.6112 0.7119
23 F 0.2202 0.9904 0.8308
24 F 0.2216 0.3897 0.6052
25 F 0.2245 0.6064 0.4670
26 F 0.2404 0.8873 0.1059
27 F 0.2411 0.1481 0.0684
28 F 0.2589 0.6481 0.9316
29 F 0.2596 0.3873 0.8941
30 F 0.2755 0.1064 0.5330
31 F 0.2784 0.8897 0.3948
32 F 0.2798 0.4904 0.1692
33 F 0.4122 0.1112 0.2881
34 F 0.4173 0.8829 0.6281
35 F 0.4345 0.3498 0.3704
36 F 0.4405 0.6482 0.7082
37 F 0.4846 0.8428 0.8776
38 F 0.4947 0.3045 0.1213
39 F 0.5053 0.6955 0.1213
40 F 0.5154 0.1572 0.8776
41 F 0.5595 0.3518 0.7082
42 F 0.5655 0.6502 0.3704
43 F 0.5827 0.1171 0.6281
44 F 0.5878 0.8888 0.2881
45 F 0.7202 0.5096 0.1692
46 F 0.7216 0.1103 0.3948
47 F 0.7245 0.8936 0.5330
48 F 0.7404 0.6127 0.8941
49 F 0.7411 0.3519 0.9316
50 F 0.7589 0.8519 0.0684
51 F 0.7596 0.1127 0.1059
52 F 0.7755 0.3936 0.4670
53 F 0.7784 0.6103 0.6052
54 F 0.7798 0.0096 0.8308
55 F 0.9122 0.3888 0.7119
56 F 0.9173 0.6171 0.3719
57 F 0.9345 0.1502 0.6296
58 F 0.9405 0.8518 0.2918
59 F 0.9846 0.6572 0.1224
60 F 0.9947 0.1955 0.8787